# 1
# CuNi3N
Calculated powder XRD pattern, Cu Kα (weighted mean of Kα1 and Kα2). Input: DFT lattice parameters and positions (PBE).
Intensities are scaled so that the largest is 100.

Crystal structure
abc: 3.730 3.730 3.730
angles: 90.00 90.00 90.00
Space group Pm-3m (No. 221)
Unique sites:
Cu 0.000 0.000 0.000
Ni 0.000 0.500 0.500
N 0.500 0.500 0.500

Largest 6 diffraction maxima, in order of rising 2θ, 10° ≤ 2θ ≤ 90°:
Position (°2θ)	I_rel	index
23.9	1	1 0 0
34.0	1	1 1 0
42.0	100	1 1 1
48.8	57	2 0 0
71.5	32	2 2 0
86.6	33	3 1 1



# 2
# Cu3P8N2O24
Calculated powder XRD pattern, Cu Kα (weighted mean of Kα1 and Kα2). Input: DFT lattice parameters and positions (PBE).
Intensities are scaled so that the largest is 100.

Crystal structure
abc: 7.339 8.092 9.868
angles: 69.00 69.24 78.64
Space group P-1 (No. 2)
Unique sites:
Cu 0.000 0.000 0.000
Cu 0.372 0.449 0.403
P 0.053 0.704 0.561
P 0.261 0.767 0.758
P 0.269 0.843 0.235
P 0.375 0.118 0.707
N 0.279 0.352 0.048
O 0.114 0.854 0.394
O 0.128 0.789 0.655
O 0.140 0.768 0.916
O 0.162 0.294 0.379
O 0.169 0.527 0.555
O 0.182 0.157 0.817
O 0.197 0.956 0.105
O 0.328 0.650 0.243
O 0.374 0.947 0.663
O 0.411 0.608 0.754
O 0.451 0.942 0.217
O 0.456 0.266 0.560

Largest 8 diffraction maxima, in order of rising 2θ, 10° ≤ 2θ ≤ 90°:
Position (°2θ)	I_rel	index
10.1	100	0 0 1
12.9	82	0 1 1
16.8	65	1 1 0
17.8	59	0 1 -1
22.6	47	0 2 1
26.5	88	2 1 2
27.6	72	-1 1 2
30.5	54	2 2 2



# 3
# CuSNO3
Calculated powder XRD pattern, Cu Kα (weighted mean of Kα1 and Kα2). Input: DFT lattice parameters and positions (PBE).
Intensities are scaled so that the largest is 100.

Crystal structure
abc: 5.6743 5.6743 22.1757
angles: 90.00 90.00 120.00
Space group R-3m (No. 166, hexagonal axes)
Unique sites:
Cu 0.0000 0.0000 0.2126
S 0.0000 0.0000 0.1135
N 0.0000 0.0000 0.3620
O 0.0458 0.5229 0.5758

Largest 8 diffraction maxima, in order of rising 2θ, 10° ≤ 2θ ≤ 90°:
Position (°2θ)	I_rel	index
12.0	94	0 0 3
18.5	93	1 0 1
19.8	100	0 1 2
31.5	87	1 1 0
33.7	59	1 0 7
33.8	33	1 1 3
49.0	33	1 1 9
49.8	28	1 2 2



# 4
# Th2CuN2O2
Calculated powder XRD pattern, Cu Kα (weighted mean of Kα1 and Kα2). Input: DFT lattice parameters and positions (PBE).
Intensities are scaled so that the largest is 100.

Crystal structure
abc: 4.027 4.027 12.354
angles: 90.00 90.00 90.00
Space group I4/mmm (No. 139)
Unique sites:
Th 0.000 0.000 0.150
Cu 0.000 0.000 0.500
N 0.000 0.500 0.250
O 0.000 0.500 0.000

Largest 8 diffraction maxima, in order of rising 2θ, 10° ≤ 2θ ≤ 90°:
Position (°2θ)	I_rel	index
23.2	30	1 0 1
31.1	100	1 0 3
31.4	41	1 1 0
43.2	20	1 1 4
45.0	24	2 0 0
55.0	15	1 1 6
55.7	39	2 1 3
64.8	10	2 0 6



# 5
# CuOsN2
Calculated powder XRD pattern, Cu Kα (weighted mean of Kα1 and Kα2). Input: DFT lattice parameters and positions (PBE).
Intensities are scaled so that the largest is 100.

Crystal structure
abc: 2.864 5.142 12.271
angles: 90.00 90.00 90.00
Space group Cmcm (No. 63)
Unique sites:
Cu 0.000 0.000 0.000
Os 0.000 0.286 0.250
N 0.000 0.041 0.653

Largest 8 diffraction maxima, in order of rising 2θ, 10° ≤ 2θ ≤ 90°:
Position (°2θ)	I_rel	index
14.4	100	0 0 2
29.1	66	0 0 4
36.7	81	1 1 1
37.9	62	0 2 2
38.9	24	1 1 2
42.3	59	1 1 3
52.2	34	1 1 5
57.6	22	0 2 6



# 6
# Cu6PdN2
Calculated powder XRD pattern, Cu Kα (weighted mean of Kα1 and Kα2). Input: DFT lattice parameters and positions (PBE).
Intensities are scaled so that the largest is 100.

Crystal structure
abc: 3.835 3.835 7.709
angles: 90.00 90.00 90.00
Space group P4/mmm (No. 123)
Unique sites:
Cu 0.000 0.000 0.000
Cu 0.000 0.000 0.500
Cu 0.000 0.500 0.250
Pd 0.500 0.500 0.000
N 0.000 0.000 0.256

Largest 8 diffraction maxima, in order of rising 2θ, 10° ≤ 2θ ≤ 90°:
Position (°2θ)	I_rel	index
11.5	26	0 0 1
25.9	16	1 0 1
40.7	100	1 1 2
47.2	19	0 0 4
47.4	38	2 0 0
69.1	22	2 0 4
83.6	22	3 1 2
88.1	11	2 2 4



# 7
# Cu12PdN4
Calculated powder XRD pattern, Cu Kα (weighted mean of Kα1 and Kα2). Input: DFT lattice parameters and positions (PBE).
Intensities are scaled so that the largest is 100.

Crystal structure
abc: 7.447 7.447 3.936
angles: 90.00 90.00 90.00
Space group P4/mmm (No. 123)
Unique sites:
Cu 0.000 0.249 0.000
Cu 0.244 0.500 0.000
Cu 0.249 0.249 0.500
Pd 0.500 0.500 0.500
N 0.000 0.000 0.000
N 0.000 0.500 0.000
N 0.500 0.500 0.000

Largest 8 diffraction maxima, in order of rising 2θ, 10° ≤ 2θ ≤ 90°:
Position (°2θ)	I_rel	index
11.9	14	1 0 0
33.1	12	2 0 1
41.3	100	2 2 1
46.1	22	0 0 2
48.9	37	4 0 0
69.5	23	4 0 2
82.1	12	2 2 3
86.2	21	6 2 1



# 8
# Cu11PdN4
Calculated powder XRD pattern, Cu Kα (weighted mean of Kα1 and Kα2). Input: DFT lattice parameters and positions (PBE).
Intensities are scaled so that the largest is 100.

Crystal structure
abc: 7.412 7.412 7.796
angles: 90.00 90.00 90.00
Space group P4/mmm (No. 123)
Unique sites:
Cu 0.000 0.000 0.231
Cu 0.000 0.254 0.500
Cu 0.237 0.500 0.000
Cu 0.244 0.500 0.500
Cu 0.245 0.245 0.244
Pd 0.500 0.500 0.249
N 0.000 0.000 0.000
N 0.000 0.000 0.500
N 0.000 0.500 0.000
N 0.000 0.500 0.500
N 0.500 0.500 0.000
N 0.500 0.500 0.500

Largest 8 diffraction maxima, in order of rising 2θ, 10° ≤ 2θ ≤ 90°:
Position (°2θ)	I_rel	index
11.9	14	1 0 0
16.9	19	1 1 0
28.5	16	1 1 2
41.5	100	2 2 2
46.6	22	0 0 4
49.2	37	4 0 0
70.1	23	4 0 4
86.8	21	6 2 2



# 9
# Cu23PdN8
Calculated powder XRD pattern, Cu Kα (weighted mean of Kα1 and Kα2). Input: DFT lattice parameters and positions (PBE).
Intensities are scaled so that the largest is 100.

Crystal structure
abc: 10.765 10.765 7.740
angles: 90.00 90.00 90.00
Space group I4/mmm (No. 139)
Unique sites:
Cu 0.000 0.000 0.000
Cu 0.000 0.500 0.000
Cu 0.125 0.125 0.248
Cu 0.125 0.375 0.250
Cu 0.250 0.250 0.000
Pd 0.000 0.000 0.500
N 0.000 0.000 0.237
N 0.000 0.500 0.250
N 0.250 0.250 0.250

Largest 8 diffraction maxima, in order of rising 2θ, 10° ≤ 2θ ≤ 90°:
Position (°2θ)	I_rel	index
23.0	18	0 0 2
23.4	44	2 2 0
33.0	17	2 2 2
40.8	100	4 0 2
47.0	21	0 0 4
47.8	39	4 4 0
69.3	23	4 4 4
84.3	22	8 4 2



# 10
# Cu11PdN4
Calculated powder XRD pattern, Cu Kα (weighted mean of Kα1 and Kα2). Input: DFT lattice parameters and positions (PBE).
Intensities are scaled so that the largest is 100.

Crystal structure
abc: 7.457 7.457 3.746
angles: 90.00 90.00 90.00
Space group P4/mmm (No. 123)
Unique sites:
Cu 0.000 0.000 0.000
Cu 0.000 0.257 0.500
Cu 0.000 0.500 0.000
Cu 0.251 0.251 0.000
Pd 0.500 0.500 0.000
N 0.000 0.000 0.500
N 0.000 0.500 0.500
N 0.500 0.500 0.500

Largest 8 diffraction maxima, in order of rising 2θ, 10° ≤ 2θ ≤ 90°:
Position (°2θ)	I_rel	index
11.9	13	1 0 0
26.7	32	2 1 0
34.0	19	2 2 0
41.9	100	2 2 1
48.6	20	0 0 2
48.9	39	4 0 0
71.4	23	4 0 2
86.5	22	6 2 1



# 11
# Cu31PdN8
Calculated powder XRD pattern, Cu Kα (weighted mean of Kα1 and Kα2). Input: DFT lattice parameters and positions (PBE).
Intensities are scaled so that the largest is 100.

Crystal structure
abc: 3.943 7.709 15.202
angles: 90.00 90.00 90.00
Space group Pmmm (No. 47)
Unique sites:
Cu 0.000 0.000 0.000
Cu 0.000 0.000 0.250
Cu 0.000 0.000 0.500
Cu 0.000 0.250 0.125
Cu 0.000 0.250 0.374
Cu 0.000 0.500 0.000
Cu 0.000 0.500 0.250
Cu 0.500 0.000 0.125
Cu 0.500 0.000 0.375
Cu 0.500 0.249 0.500
Cu 0.500 0.250 0.000
Cu 0.500 0.250 0.250
Cu 0.500 0.500 0.125
Cu 0.500 0.500 0.374
Pd 0.000 0.500 0.500
N 0.500 0.000 0.000
N 0.500 0.000 0.250
N 0.500 0.000 0.500
N 0.500 0.500 0.000
N 0.500 0.500 0.250
N 0.500 0.500 0.500

Largest 8 diffraction maxima, in order of rising 2θ, 10° ≤ 2θ ≤ 90°:
Position (°2θ)	I_rel	index
40.4	100	1 2 4
46.0	20	2 0 0
47.2	19	0 4 0
47.9	18	0 0 8
68.0	11	2 4 0
68.6	11	2 0 8
81.4	11	3 2 4
87.4	11	2 4 8